(1)
Diffraction record for Cs4La3Te8Pb. The powder X-ray diffraction pattern is simulated, not measured: it uses a crystal structure in Alexandria, relaxed with GGA-PBE and Cu Kα (weighted mean of Kα1 and Kα2).
Kinematic intensities with the Lorentz-polarization factor, no thermal factor.

Cell and atoms:
```
Cs4La3Te8Pb
1.0
4.7625 2.7496 8.9486
-4.7625 2.7496 8.9486
0.0000 -5.4992 8.9486
Cs La Te Pb
4 3 8 1
Cartesian
0.0000 0.0000 0.0000
-2.3812 -1.3748 8.9486
-2.3812 1.3748 17.8971
0.0000 2.7496 8.9486
-4.7625 0.0000 13.4228
-2.3812 1.3748 4.4743
2.3812 1.3748 4.4743
-2.4014 -1.3865 15.1749
0.0000 0.0000 6.2377
0.0000 -2.7729 11.6708
-2.4014 1.3865 11.6708
2.4014 -1.3865 15.1749
0.0000 2.7729 15.1749
0.0000 0.0000 20.6080
2.4014 1.3865 11.6708
0.0000 0.0000 13.4228
```

The 10 most intense peaks (5 to 70 degrees two-theta), by angle:
| d [Å] | 2θ (°) | Rel. int. |
| --- | --- | --- |
| 8.949 | 9.88 | 12 |
| 3.514 | 25.35 | 100 |
| 2.809 | 31.86 | 9 |
| 2.603 | 34.46 | 33 |
| 2.381 | 37.78 | 38 |
| 1.971 | 46.04 | 20 |
| 1.757 | 52.05 | 10 |
| 1.630 | 56.44 | 10 |
| 1.518 | 61.02 | 17 |
| 1.414 | 66.09 | 10 |



(2)
Diffraction record for Cs4La3PrTe8. The powder X-ray diffraction pattern is simulated, not measured: it uses a crystal structure in Alexandria, relaxed with GGA-PBE and Cu Kα (weighted mean of Kα1 and Kα2).
Kinematic intensities with the Lorentz-polarization factor, no thermal factor.

Cell and atoms:
```
Cs4La3PrTe8
1.0
4.7550 2.7453 8.9333
-4.7550 2.7453 8.9333
0.0000 -5.4906 8.9333
Cs La Pr Te
4 3 1 8
Cartesian
0.0000 0.0000 0.0000
-2.3775 -1.3727 8.9333
-2.3775 1.3726 17.8666
0.0000 2.7453 8.9333
-4.7550 0.0000 13.3999
-2.3775 1.3726 4.4666
2.3775 1.3727 4.4667
0.0000 0.0000 13.4000
0.0000 0.0000 6.2198
-2.3628 -1.3642 15.1508
0.0000 -2.7284 11.6491
-2.3628 1.3642 11.6491
2.3628 -1.3642 15.1508
0.0000 2.7284 15.1508
2.3628 1.3642 11.6491
0.0000 0.0000 20.5801
```

The 10 most intense peaks (5 to 70 degrees two-theta), by angle:
| d [Å] | 2θ (°) | Rel. int. |
| --- | --- | --- |
| 8.933 | 9.90 | 9 |
| 3.508 | 25.39 | 100 |
| 2.804 | 31.92 | 8 |
| 2.599 | 34.51 | 33 |
| 2.378 | 37.84 | 38 |
| 1.968 | 46.12 | 20 |
| 1.754 | 52.14 | 10 |
| 1.628 | 56.54 | 9 |
| 1.516 | 61.13 | 17 |
| 1.412 | 66.21 | 10 |



(3)
Diffraction record for Cs5LaS4. The powder X-ray diffraction pattern is simulated, not measured: it uses a crystal structure in Alexandria, relaxed with GGA-PBE and Cu Kα (weighted mean of Kα1 and Kα2).
Kinematic intensities with the Lorentz-polarization factor, no thermal factor.

Cell and atoms:
```
Cs5LaS4
1.0
10.5048 -2.3408 0.0000
10.5048 2.3408 0.0000
-2.8193 0.0000 8.7503
Cs La S
5 1 4
Cartesian
0.0000 0.0000 0.0000
5.2241 0.0000 5.4722
6.7135 0.0000 1.2382
11.4767 0.0000 7.5121
12.9662 0.0000 3.2781
-1.4097 0.0000 4.3752
1.3892 0.0000 5.3344
8.4840 0.0000 6.2272
9.7063 0.0000 2.5231
16.8010 0.0000 3.4160
```

The 10 most intense peaks (5 to 70 degrees two-theta), by angle:
| d [Å] | 2θ (°) | Rel. int. |
| --- | --- | --- |
| 3.946 | 22.53 | 41 |
| 3.831 | 23.22 | 85 |
| 3.621 | 24.58 | 33 |
| 3.333 | 26.75 | 58 |
| 3.273 | 27.25 | 100 |
| 2.416 | 37.22 | 38 |
| 2.341 | 38.46 | 22 |
| 2.262 | 39.85 | 36 |
| 2.013 | 45.04 | 26 |
| 1.916 | 47.46 | 23 |



(4)
Diffraction record for CsLa4Se6. The powder X-ray diffraction pattern is simulated, not measured: it uses a crystal structure in Alexandria, relaxed with GGA-PBE and Cu Kα (weighted mean of Kα1 and Kα2).
Kinematic intensities with the Lorentz-polarization factor, no thermal factor.

Cell and atoms:
```
CsLa4Se6
1.0
2.1906 -7.2898 0.0000
2.1906 7.2898 0.0000
0.0000 0.0000 23.0715
Cs La Se
2 8 12
Cartesian
2.1906 5.0748 17.3036
2.1906 -5.0748 5.7679
2.1906 5.8168 3.0473
2.1906 5.8168 8.4885
2.1906 1.9256 0.9448
2.1906 1.9256 10.5910
2.1906 -1.9256 12.4805
2.1906 -1.9256 22.1267
2.1906 -5.8168 14.5831
2.1906 -5.8168 20.0242
0.0000 0.0000 0.0000
0.0000 0.0000 11.5358
2.1906 5.0144 5.7679
2.1906 3.3449 13.3527
2.1906 3.3449 21.2546
2.1906 0.4695 3.4397
2.1906 0.4695 8.0960
2.1906 -0.4695 14.9755
2.1906 -0.4695 19.6318
2.1906 -3.3449 1.8169
2.1906 -3.3449 9.7189
2.1906 -5.0144 17.3036
```

The 10 most intense peaks (5 to 70 degrees two-theta), by angle:
| d [Å] | 2θ (°) | Rel. int. |
| --- | --- | --- |
| 11.536 | 7.66 | 24 |
| 3.899 | 22.81 | 56 |
| 3.401 | 26.20 | 40 |
| 3.222 | 27.69 | 45 |
| 3.132 | 28.50 | 100 |
| 2.998 | 29.80 | 84 |
| 2.377 | 37.86 | 37 |
| 2.238 | 40.30 | 56 |
| 2.189 | 41.23 | 63 |
| 2.149 | 42.04 | 41 |



(5)
Diffraction record for CsLaZrSe4. The powder X-ray diffraction pattern is simulated, not measured: it uses a crystal structure in Alexandria, relaxed with GGA-PBE and Cu Kα (weighted mean of Kα1 and Kα2).
Kinematic intensities with the Lorentz-polarization factor, no thermal factor.

Cell and atoms:
```
CsLaZrSe4
1.0
7.3833 0.0000 0.0000
0.0000 7.3360 0.0000
-3.1793 0.0000 9.5333
Cs La Zr Se
2 2 2 8
Cartesian
0.3120 1.8340 4.2105
3.8920 5.5020 5.3227
-0.9134 1.8340 9.0649
5.1174 5.5020 0.4684
1.4216 5.5020 1.5770
2.7824 1.8340 7.9563
-2.6065 5.5020 8.7663
-0.6159 5.5020 3.0659
1.0954 3.7328 7.6437
1.0954 7.2711 7.6437
3.1086 0.0649 1.8896
3.1086 3.6031 1.8896
4.8199 1.8340 6.4673
6.8105 1.8340 0.7669
```

The 10 most intense peaks (5 to 70 degrees two-theta), by angle:
| d [Å] | 2θ (°) | Rel. int. |
| --- | --- | --- |
| 9.533 | 9.28 | 89 |
| 3.668 | 24.27 | 65 |
| 3.378 | 26.39 | 48 |
| 3.249 | 27.45 | 60 |
| 3.132 | 28.50 | 100 |
| 3.068 | 29.10 | 87 |
| 2.908 | 30.75 | 48 |
| 2.890 | 30.95 | 36 |
| 2.533 | 35.44 | 50 |
| 1.834 | 49.71 | 40 |



(6)
Diffraction record for Cs3La3UTe8. The powder X-ray diffraction pattern is simulated, not measured: it uses a crystal structure in Alexandria, relaxed with GGA-PBE and Cu Kα (weighted mean of Kα1 and Kα2).
Kinematic intensities with the Lorentz-polarization factor, no thermal factor.

Cell and atoms:
```
Cs3La3UTe8
1.0
8.1119 -4.6891 0.0000
8.1119 4.6891 0.0000
-5.4150 0.0000 9.0779
Cs La U Te
3 3 1 8
Cartesian
0.0000 0.0000 0.0000
4.0559 2.3446 0.0000
4.0559 -2.3446 0.0000
1.3484 2.3446 4.5389
1.3484 -2.3446 4.5389
5.4044 0.0000 4.5389
-2.7075 0.0000 4.5389
-0.1195 0.0000 6.2434
4.1102 2.4446 6.2440
6.6986 2.4446 2.8338
2.7000 0.0000 2.7572
8.1087 0.0000 6.3207
4.1102 -2.4446 6.2440
6.6986 -2.4446 2.8338
10.9282 0.0000 2.8345
```

The 10 most intense peaks (5 to 70 degrees two-theta), by angle:
| d [Å] | 2θ (°) | Rel. int. |
| --- | --- | --- |
| 9.078 | 9.74 | 31 |
| 7.779 | 11.38 | 12 |
| 3.486 | 25.55 | 100 |
| 2.808 | 31.86 | 16 |
| 2.608 | 34.38 | 31 |
| 2.343 | 38.42 | 38 |
| 2.269 | 39.72 | 10 |
| 2.114 | 42.78 | 10 |
| 1.945 | 46.71 | 19 |
| 1.496 | 62.04 | 11 |



(7)
Diffraction record for Cs2LaZn2Te4. The powder X-ray diffraction pattern is simulated, not measured: it uses a crystal structure in Alexandria, relaxed with GGA-PBE and Cu Kα (weighted mean of Kα1 and Kα2).
Kinematic intensities with the Lorentz-polarization factor, no thermal factor.

Cell and atoms:
```
Cs2LaZn2Te4
1.0
8.4472 -2.4605 0.0000
8.4472 2.4605 0.0000
-2.8466 0.0000 8.3678
Cs La Zn Te
2 1 2 4
Cartesian
2.0923 0.0000 0.5557
11.9555 0.0000 7.8120
-1.4233 0.0000 4.1839
4.0949 0.0000 4.1647
9.9529 0.0000 4.2031
1.5611 0.0000 5.4687
6.0610 0.0000 6.1251
7.9868 0.0000 2.2427
12.4868 0.0000 2.8991
```

The 10 most intense peaks (5 to 70 degrees two-theta), by angle:
| d [Å] | 2θ (°) | Rel. int. |
| --- | --- | --- |
| 8.368 | 10.57 | 33 |
| 3.617 | 24.61 | 41 |
| 3.510 | 25.38 | 39 |
| 3.284 | 27.15 | 100 |
| 3.226 | 27.65 | 36 |
| 3.086 | 28.93 | 53 |
| 2.782 | 32.18 | 29 |
| 2.483 | 36.17 | 26 |
| 2.461 | 36.52 | 41 |
| 2.007 | 45.18 | 31 |



(8)
Diffraction record for CsLa2Zr2. The powder X-ray diffraction pattern is simulated, not measured: it uses a crystal structure in Alexandria, relaxed with GGA-PBE and Cu Kα (weighted mean of Kα1 and Kα2).
Kinematic intensities with the Lorentz-polarization factor, no thermal factor.

Cell and atoms:
```
CsLa2Zr2
1.0
-2.0866 2.0866 12.4396
2.0866 -2.0866 12.4396
2.0866 2.0866 -12.4396
Cs La Zr
1 2 2
Cartesian
0.0000 0.0000 0.0000
0.0000 0.0000 8.7766
0.0000 0.0000 16.1026
2.0866 0.0000 6.2198
0.0000 2.0866 6.2198
```

The 10 most intense peaks (5 to 70 degrees two-theta), by angle:
| d [Å] | 2θ (°) | Rel. int. |
| --- | --- | --- |
| 12.440 | 7.11 | 45 |
| 3.728 | 23.87 | 100 |
| 3.110 | 28.71 | 20 |
| 2.871 | 31.15 | 20 |
| 2.666 | 33.62 | 23 |
| 2.404 | 37.40 | 56 |
| 2.087 | 43.36 | 24 |
| 1.821 | 50.10 | 27 |
| 1.733 | 52.84 | 14 |
| 1.522 | 60.85 | 16 |



(9)
Diffraction record for CsLi. The powder X-ray diffraction pattern is simulated, not measured: it uses a crystal structure in Alexandria, relaxed with GGA-PBE and Cu Kα (weighted mean of Kα1 and Kα2).
Kinematic intensities with the Lorentz-polarization factor, no thermal factor.

Cell and atoms:
```
CsLi
1.0
3.1369 -7.4939 0.0000
3.1369 7.4939 0.0000
0.0000 0.0000 5.2870
Cs Li
2 2
Cartesian
3.1369 5.2934 3.9652
3.1369 -5.2934 1.3217
3.1369 0.7312 3.9652
3.1369 -0.7312 1.3217
```

The 10 most intense peaks (5 to 70 degrees two-theta), by angle:
| d [Å] | 2θ (°) | Rel. int. |
| --- | --- | --- |
| 5.787 | 15.31 | 36 |
| 4.320 | 20.56 | 51 |
| 3.905 | 22.77 | 100 |
| 3.747 | 23.75 | 14 |
| 3.139 | 28.43 | 22 |
| 2.538 | 35.36 | 25 |
| 2.407 | 37.37 | 39 |
| 2.190 | 41.23 | 23 |
| 1.929 | 47.12 | 14 |
| 1.539 | 60.11 | 10 |



(10)
Diffraction record for CsLi. The powder X-ray diffraction pattern is simulated, not measured: it uses a crystal structure in Alexandria, relaxed with GGA-PBE and Cu Kα (weighted mean of Kα1 and Kα2).
Kinematic intensities with the Lorentz-polarization factor, no thermal factor.

Cell and atoms:
```
CsLi
1.0
4.5080 0.0000 0.0000
0.0000 4.5088 0.0000
-0.1577 0.0000 11.6578
Cs Li
2 2
Cartesian
1.0658 1.1272 3.4754
3.2846 3.3816 8.1824
0.9786 1.1272 11.2968
3.3718 3.3816 0.3609
```

The 10 most intense peaks (5 to 70 degrees two-theta), by angle:
| d [Å] | 2θ (°) | Rel. int. |
| --- | --- | --- |
| 11.658 | 7.58 | 22 |
| 5.829 | 15.20 | 48 |
| 4.211 | 21.10 | 100 |
| 4.185 | 21.23 | 33 |
| 3.886 | 22.89 | 21 |
| 3.566 | 24.97 | 17 |
| 3.188 | 27.99 | 40 |
| 2.450 | 36.68 | 26 |
| 1.990 | 45.59 | 17 |
| 1.984 | 45.74 | 17 |



(11)
Diffraction record for CsLi. The powder X-ray diffraction pattern is simulated, not measured: it uses a crystal structure in Alexandria, relaxed with GGA-PBE and Cu Kα (weighted mean of Kα1 and Kα2).
Kinematic intensities with the Lorentz-polarization factor, no thermal factor.

Cell and atoms:
```
CsLi
1.0
14.8129 0.0000 0.0000
0.0000 14.8129 0.0000
0.0000 0.0000 4.8520
Cs Li
8 8
Cartesian
1.4514 11.6896 0.0000
3.1233 1.4514 0.0000
4.3203 5.7838 2.4260
5.7838 10.4926 2.4260
9.0291 4.3203 2.4260
10.4926 9.0291 2.4260
11.6896 13.3615 0.0000
13.3615 3.1233 0.0000
1.0013 6.3917 0.0000
1.0560 8.3714 2.4260
6.3917 13.8116 0.0000
6.4415 1.0560 2.4260
8.3714 13.7569 2.4260
8.4212 1.0013 0.0000
13.7569 6.4415 2.4260
13.8116 8.4212 0.0000
```

The 10 most intense peaks (5 to 70 degrees two-theta), by angle:
| d [Å] | 2θ (°) | Rel. int. |
| --- | --- | --- |
| 4.684 | 18.95 | 100 |
| 4.611 | 19.25 | 48 |
| 3.914 | 22.72 | 45 |
| 3.461 | 25.74 | 24 |
| 3.312 | 26.92 | 37 |
| 3.135 | 28.47 | 49 |
| 2.887 | 30.97 | 26 |
| 2.393 | 37.59 | 21 |
| 2.176 | 41.49 | 20 |
| 2.154 | 41.94 | 25 |



(12)
Diffraction record for CsLiMg14O15. The powder X-ray diffraction pattern is simulated, not measured: it uses a crystal structure in Alexandria, relaxed with GGA-PBE and Cu Kα (weighted mean of Kα1 and Kα2).
Kinematic intensities with the Lorentz-polarization factor, no thermal factor.

Cell and atoms:
```
CsLiMg14O15
1.0
4.3804 0.0000 0.0000
0.0000 8.7908 0.0000
0.0000 0.0000 8.5467
Cs Li Mg O
1 1 14 15
Cartesian
0.0000 0.0000 0.0000
0.0000 4.3954 7.5165
0.0000 0.0000 3.6228
0.0000 2.2045 5.6422
0.0000 2.5090 1.2054
0.0000 4.3954 3.4427
0.0000 6.2817 1.2054
0.0000 6.5863 5.6422
2.1902 0.0000 1.4210
2.1902 0.0000 5.6328
2.1902 2.2142 3.4109
2.1902 2.3321 7.6235
2.1902 4.3954 1.2067
2.1902 4.3954 5.5694
2.1902 6.4587 7.6235
2.1902 6.5766 3.4109
0.0000 0.0000 5.5366
0.0000 2.0675 3.2710
0.0000 2.4113 7.6816
0.0000 4.3954 1.4305
0.0000 4.3954 5.4151
0.0000 6.3794 7.6816
0.0000 6.7233 3.2710
2.1902 0.0000 3.3725
2.1902 0.0000 7.5968
2.1902 2.1224 1.2526
2.1902 2.2100 5.5023
2.1902 4.3954 3.3577
2.1902 4.3954 7.6938
2.1902 6.5807 5.5023
2.1902 6.6684 1.2526
```

The 10 most intense peaks (5 to 70 degrees two-theta), by angle:
| d [Å] | 2θ (°) | Rel. int. |
| --- | --- | --- |
| 8.791 | 10.06 | 41 |
| 6.128 | 14.45 | 48 |
| 3.564 | 24.99 | 35 |
| 3.061 | 29.17 | 34 |
| 2.889 | 30.95 | 41 |
| 2.511 | 35.76 | 50 |
| 2.198 | 41.07 | 93 |
| 2.190 | 41.22 | 100 |
| 2.137 | 42.30 | 40 |
| 1.551 | 59.59 | 54 |